# Dy6Ho6Er
Computed X-ray diffraction stick pattern, Cu Kα X-rays. Input: a DFT-relaxed cell (GGA-PBE, Alexandria).

The 10 most intense peaks (2θ from 15° to 90°), in order of rising 2θ:
two_theta  intensity
27.04  41
28.42  30
31.32  57
31.42  90
31.73  33
35.22  100
35.50  32
55.75  38
56.33  34
65.58  25

Structure:
Lattice parameters (Å, degrees): 6.596 6.596 11.281 90.00 90.00 120.00
Atoms (fractional coordinates):
Dy1 0.000 0.000 0.155
Dy2 0.000 0.000 0.845
Dy3 0.333 0.667 0.000
Dy4 0.333 0.667 0.500
Dy5 0.667 0.333 0.000
Dy6 0.667 0.333 0.500
Ho1 0.000 0.500 0.257
Ho2 0.000 0.500 0.743
Ho3 0.500 0.000 0.257
Ho4 0.500 0.000 0.743
Ho5 0.500 0.500 0.257
Ho6 0.500 0.500 0.743
Er1 0.000 0.000 0.500